Record 1
Starting from a DFT-relaxed cell (GGA-PBE, Alexandria), the powder XRD pattern of Ba2TeRu was simulated for Cu Kα (weighted mean of Kα1 and Kα2).
Intensities are scaled so that the largest is 100.

Peak list (10 most intense, 2θ from 15° to 90°, sorted by position)
- 22.30°, intensity 21.7
- 25.90°, intensity 56.9
- 27.86°, intensity 100.0
- 32.54°, intensity 75.2
- 35.19°, intensity 38.0
- 38.66°, intensity 90.1
- 40.06°, intensity 39.3
- 41.13°, intensity 24.6
- 48.32°, intensity 21.6
- 57.72°, intensity 54.0

Structure:
Cell lengths 4.6575, 4.6575, 26.3364 Å; angles 90.00, 90.00, 120.00 degrees
Space group R3m (No. 160, hexagonal axes)
Asymmetric unit:
1 Ba 0.0000 0.0000 0.0000 x3
2 Ba 0.0000 0.0000 0.1612 x3
3 Te 0.0000 0.0000 0.7475 x3
4 Ru 0.0000 0.0000 0.4135 x3


Record 2
Starting from a DFT-relaxed cell (GGA-PBE, Alexandria), the powder XRD pattern of K5Na3Ta8O24 was simulated for Cu Kα (weighted mean of Kα1 and Kα2).
Intensities are scaled so that the largest is 100.

Peak list (10 most intense, 2θ from 15° to 90°, sorted by position)
- 22.16°, intensity 80.7
- 31.54°, intensity 100.0
- 38.88°, intensity 9.1
- 45.20°, intensity 32.1
- 50.89°, intensity 35.5
- 56.16°, intensity 39.8
- 65.84°, intensity 19.4
- 70.41°, intensity 16.9
- 74.84°, intensity 17.1
- 87.71°, intensity 7.8

Structure:
Cell lengths 8.024, 8.024, 8.023 Å; angles 90.00, 90.00, 90.00 degrees
Space group P4/mmm (No. 123)
Asymmetric unit:
1 K 0.000 0.000 0.000 x1
2 K 0.000 0.000 0.500 x1
3 K 0.000 0.500 0.000 x2
4 K 0.500 0.500 0.000 x1
5 Na 0.000 0.500 0.500 x2
6 Na 0.500 0.500 0.500 x1
7 Ta 0.251 0.251 0.252 x8
8 O 0.000 0.252 0.253 x8
9 O 0.251 0.251 0.000 x4
10 O 0.251 0.500 0.254 x8
11 O 0.252 0.252 0.500 x4


Record 3
Starting from a DFT-relaxed cell (GGA-PBE, Alexandria), the powder XRD pattern of Na8B9C7 was simulated for Cu Kα (weighted mean of Kα1 and Kα2).
Intensities are scaled so that the largest is 100.

Peak list (10 most intense, 2θ from 15° to 90°, sorted by position)
- 36.23°, intensity 9.2
- 36.63°, intensity 17.0
- 42.25°, intensity 50.1
- 42.60°, intensity 100.0
- 42.76°, intensity 38.6
- 57.54°, intensity 9.5
- 65.43°, intensity 17.4
- 78.20°, intensity 12.4
- 81.37°, intensity 17.1
- 81.74°, intensity 10.7

Structure:
Cell lengths 2.823, 33.835, 4.959 Å; angles 90.00, 90.00, 90.00 degrees
Space group Imm2 (No. 44)
Asymmetric unit:
1 Na 0.000 0.063 0.000 x4
2 Na 0.000 0.188 0.001 x4
3 Na 0.000 0.312 0.001 x4
4 Na 0.000 0.436 0.002 x4
5 B 0.000 0.000 0.359 x2
6 B 0.000 0.126 0.669 x4
7 B 0.000 0.250 0.334 x4
8 B 0.000 0.374 0.668 x4
9 B 0.000 0.500 0.323 x2
10 B 0.000 0.500 0.657 x2
11 C 0.000 0.000 0.668 x2
12 C 0.000 0.126 0.335 x4
13 C 0.000 0.250 0.667 x4
14 C 0.000 0.374 0.335 x4


Record 4
Starting from a DFT-relaxed cell (GGA-PBE, Alexandria), the powder XRD pattern of CsTi2Cl7 was simulated for Cu Kα (weighted mean of Kα1 and Kα2).
Intensities are scaled so that the largest is 100.

Peak list (10 most intense, 2θ from 15° to 90°, sorted by position)
- 15.14°, intensity 65.4
- 16.54°, intensity 94.7
- 18.31°, intensity 95.4
- 24.67°, intensity 60.9
- 30.12°, intensity 75.0
- 30.54°, intensity 100.0
- 32.18°, intensity 65.0
- 35.00°, intensity 68.5
- 35.38°, intensity 56.5
- 36.83°, intensity 60.9

Structure:
Cell lengths 6.861, 11.382, 7.649 Å; angles 90.00, 95.85, 90.00 degrees
Space group P2_1/m (No. 11)
Asymmetric unit:
1 Cs 0.070 0.250 0.370 x2
2 Ti 0.414 0.114 0.876 x4
3 Cl 0.132 0.250 0.870 x2
4 Cl 0.256 0.003 0.652 x4
5 Cl 0.282 0.503 0.105 x4
6 Cl 0.442 0.750 0.894 x2
7 Cl 0.461 0.750 0.336 x2


Record 5
Starting from a DFT-relaxed cell (GGA-PBE, Alexandria), the powder XRD pattern of Tm6Tl2Tc was simulated for Cu Kα (weighted mean of Kα1 and Kα2).
Intensities are scaled so that the largest is 100.

Peak list (10 most intense, 2θ from 15° to 90°, sorted by position)
- 31.23°, intensity 100.0
- 32.34°, intensity 54.1
- 33.60°, intensity 57.8
- 36.82°, intensity 47.4
- 39.97°, intensity 40.3
- 46.67°, intensity 19.5
- 57.92°, intensity 20.9
- 59.97°, intensity 28.0
- 60.87°, intensity 22.2
- 62.86°, intensity 19.5

Structure:
Cell lengths 8.4566, 8.4566, 3.8926 Å; angles 90.00, 90.00, 120.00 degrees
Space group P-62m (No. 189)
Asymmetric unit:
1 Tm 0.0000 0.3840 0.0000 x3
2 Tm 0.0000 0.7589 0.5000 x3
3 Tl 0.3333 0.6667 0.5000 x2
4 Tc 0.0000 0.0000 0.0000 x1


Record 6
Starting from a DFT-relaxed cell (GGA-PBE, Alexandria), the powder XRD pattern of Ir5Ru3 was simulated for Cu Kα (weighted mean of Kα1 and Kα2).
Intensities are scaled so that the largest is 100.

Peak list (10 most intense, 2θ from 15° to 90°, sorted by position)
- 23.81°, intensity 5.5
- 28.98°, intensity 3.0
- 37.39°, intensity 2.1
- 40.58°, intensity 100.0
- 47.21°, intensity 48.7
- 53.53°, intensity 1.4
- 56.34°, intensity 1.0
- 68.98°, intensity 31.5
- 83.21°, intensity 38.3
- 87.81°, intensity 11.4

Structure:
Cell lengths 3.851, 3.851, 15.399 Å; angles 90.00, 90.00, 90.00 degrees
Space group I-4m2 (No. 119)
Asymmetric unit:
1 Ir 0.000 0.000 0.000 x2
2 Ir 0.000 0.000 0.249 x4
3 Ir 0.000 0.500 0.125 x4
4 Ru 0.000 0.000 0.500 x2
5 Ru 0.000 0.500 0.623 x4